The following is a theoretical powder diffraction line list of Nb3TeI7. It was derived from DFT lattice parameters and positions (PBE), using CuKα.

```
22
Lattice="7.7335 0.0000 0.0000 -3.8668 6.6974 0.0000 0.0000 0.0000 14.8834" Properties=species:S:1:pos:R:3 pbc="T T T"
Nb 0.0000 1.7732 0.0000
Nb -2.3312 5.8109 0.0000
Nb 1.5356 0.8866 7.4417
Nb 2.3312 5.8109 0.0000
Nb 6.1979 0.8866 7.4417
Nb 3.8668 4.9243 7.4417
Te 0.0000 0.0000 5.3568
Te 0.0000 0.0000 12.7986
I -1.9195 3.3568 5.9030
I 0.0000 2.2388 9.3022
I -1.9279 5.5781 9.3022
I 0.0000 4.4650 1.4612
I 1.9388 1.1194 1.8605
I 1.9195 3.3568 5.9030
I 0.0000 6.6814 5.9030
I 3.8668 0.0161 13.3447
I 1.9473 3.3407 13.3447
I 1.9279 5.5781 9.3022
I 3.8668 2.2325 8.9029
I 5.7947 1.1194 1.8605
I 3.8668 4.4587 1.8605
I 5.7862 3.3407 13.3447
```

Top 8 peaks for 10 to 80 degrees two-theta, in order of rising 2θ:
d_spacing	Position (°2θ)	intensity	hkl
7.442	11.89	44	0 0 2
3.721	23.92	20	0 0 4
3.267	27.30	22	2 0 1
3.054	29.24	100	2 0 2
2.776	32.25	48	2 0 3
2.225	40.55	27	2 0 5
1.993	45.51	22	2 0 6
1.933	47.00	33	2 2 0